Entry 1:
The following is a computed powder diffraction line list of LiAlSiH2O5. It was derived from DFT lattice parameters and positions (PBE), using a wavelength of 1.5418 Å.
Kinematic intensities with the Lorentz-polarization factor, no thermal factor.

Largest 10 diffraction maxima, low angle first, 2θ = 5–70°:
(hkl), Position (°2θ), d (Å), I (rel.)
1 1 0, 13.03, 6.794, 42
2 0 0, 15.50, 5.717, 100
0 1 1, 20.49, 4.334, 74
1 1 1, 21.93, 4.053, 57
2 0 1, 23.51, 3.785, 43
3 1 0, 25.64, 3.474, 41
2 2 0, 26.23, 3.397, 31
0 0 2, 35.56, 2.525, 19
1 3 1, 37.40, 2.404, 28
4 5 1, 66.96, 1.398, 17

Structural model:
abc: 11.435 8.447 5.049
angles: 90.00 90.00 90.00
Fractional coordinates of all 40 atoms:
Li  0.120  0.208  0.000
Li  0.380  0.708  0.500
Li  0.620  0.292  0.000
Li  0.880  0.792  0.500
Al  0.147  0.855  0.129
Al  0.353  0.355  0.629
Al  0.647  0.645  0.129
Al  0.853  0.145  0.629
Si  0.229  0.031  0.598
Si  0.271  0.531  0.098
Si  0.729  0.469  0.598
Si  0.771  0.969  0.098
H  0.024  0.655  0.206
H  0.099  0.481  0.903
H  0.401  0.981  0.403
H  0.476  0.155  0.706
H  0.524  0.845  0.206
H  0.599  0.019  0.903
H  0.901  0.519  0.403
H  0.976  0.345  0.706
O  0.013  0.768  0.229
O  0.134  0.450  0.071
O  0.157  0.918  0.799
O  0.173  0.034  0.300
O  0.246  0.210  0.712
O  0.254  0.710  0.212
O  0.327  0.534  0.800
O  0.343  0.418  0.299
O  0.366  0.950  0.571
O  0.487  0.268  0.729
O  0.513  0.732  0.229
O  0.634  0.050  0.071
O  0.657  0.582  0.799
O  0.673  0.466  0.300
O  0.746  0.290  0.712
O  0.754  0.790  0.212
O  0.827  0.966  0.800
O  0.843  0.082  0.299
O  0.866  0.550  0.571
O  0.987  0.232  0.729

---

Entry 2:
The following is a computed powder diffraction line list of Li2Al2Si4HO14. It was derived from DFT lattice parameters and positions (PBE), using a wavelength of 1.5418 Å.
Kinematic intensities with the Lorentz-polarization factor, no thermal factor.

Largest 10 diffraction maxima, low angle first, 2θ = 5–70°:
(hkl), Position (°2θ), d (Å), I (rel.)
0 0 1, 11.11, 7.965, 70
0 1 0, 12.76, 6.938, 42
0 1 -1, 20.10, 4.418, 41
1 0 1, 20.86, 4.258, 80
1 0 -1, 21.06, 4.219, 84
0 2 0, 25.68, 3.469, 100
0 2 2, 26.34, 3.383, 77
1 1 2, 27.22, 3.276, 31
-1 1 2, 27.57, 3.236, 29
2 0 0, 35.90, 2.501, 45

Structural model:
abc: 5.007 7.592 8.716
angles: 66.04 89.29 89.58
Fractional coordinates of all 23 atoms:
Li  0.000  0.000  0.000
Li  0.495  0.717  0.608
Al  0.517  0.948  0.201
Al  0.980  0.922  0.690
Si  0.015  0.767  0.409
Si  0.025  0.349  0.418
Si  0.483  0.790  0.924
Si  0.533  0.371  0.198
H  0.816  0.350  0.862
O  0.078  0.534  0.469
O  0.127  0.814  0.563
O  0.173  0.892  0.233
O  0.190  0.888  0.861
O  0.304  0.299  0.345
O  0.415  0.425  0.665
O  0.432  0.561  0.040
O  0.587  0.194  0.141
O  0.628  0.896  0.031
O  0.670  0.805  0.764
O  0.693  0.807  0.387
O  0.804  0.427  0.270
O  0.922  0.167  0.578
O  0.950  0.278  0.946

---

Entry 3:
The following is a computed powder diffraction line list of LiAlSi2H2O7. It was derived from DFT lattice parameters and positions (PBE), using a wavelength of 1.5418 Å.
Kinematic intensities with the Lorentz-polarization factor, no thermal factor.

Largest 10 diffraction maxima, low angle first, 2θ = 5–70°:
(hkl), Position (°2θ), d (Å), I (rel.)
0 0 1, 13.29, 6.661, 100
0 1 1, 15.70, 5.644, 20
1 1 1, 16.27, 5.447, 92
1 1 0, 17.58, 5.045, 45
1 0 -1, 21.18, 4.195, 61
0 1 -1, 23.37, 3.806, 24
2 1 1, 26.14, 3.409, 26
0 0 2, 26.76, 3.332, 19
0 2 1, 27.58, 3.234, 19
1 3 1, 39.39, 2.287, 21

Structural model:
abc: 6.916 6.959 7.606
angles: 63.26 71.00 68.82
Fractional coordinates of all 26 atoms:
Li  0.000  0.000  0.000
Li  0.409  0.935  0.976
Al  0.120  0.505  0.378
Al  0.614  0.210  0.113
Si  0.048  0.192  0.237
Si  0.281  0.014  0.587
Si  0.624  0.616  0.684
Si  0.749  0.666  0.243
H  0.165  0.443  0.591
H  0.279  0.330  0.946
H  0.573  0.584  0.263
H  0.819  0.815  0.684
O  0.082  0.172  0.464
O  0.107  0.901  0.358
O  0.150  0.790  0.216
O  0.230  0.022  0.800
O  0.281  0.195  0.068
O  0.401  0.757  0.602
O  0.406  0.370  0.264
O  0.482  0.132  0.406
O  0.605  0.380  0.856
O  0.694  0.761  0.766
O  0.710  0.930  0.104
O  0.794  0.606  0.472
O  0.855  0.228  0.137
O  0.988  0.506  0.181